No. 1
# KEuTiO4
Calculated X-ray powder pattern, CuKα. Input: a cell relaxed with PBE.
No peak broadening, texture or thermal motion is included.

Structure:
a = 13.308 Å, b = 5.510 Å, c = 5.441 Å
α = 90.00°, β = 90.00°, γ = 90.00°
Space group Pbcm (No. 57)
Unique sites:
K  0.095  0.014  0.250
Eu  0.397  0.023  0.250
Ti  0.250  0.507  0.250
O  0.117  0.522  0.250
O  0.271  0.250  0.000
O  0.289  0.750  0.000
O  0.435  0.057  0.750

Largest 10 diffraction maxima, most intense first, 2θ = 10–80°:
2θ (°), I/Imax
30.65, 100.0
26.64, 44.4
46.94, 31.2
32.93, 30.1
32.50, 28.2
57.38, 16.8
56.84, 16.0
40.68, 14.7
63.83, 13.7
47.48, 11.9

No. 2
# KEuZr4O12
Calculated X-ray powder pattern, CuKα. Input: a cell relaxed with PBE.
No peak broadening, texture or thermal motion is included.

Structure:
a = 8.310 Å, b = 8.264 Å, c = 8.279 Å
α = 90.00°, β = 90.00°, γ = 90.00°
Space group Amm2 (No. 38)
Unique sites:
K  0.000  0.000  0.000
Eu  0.500  0.000  0.497
Zr  0.247  0.248  0.250
O  0.000  0.232  0.243
O  0.229  0.000  0.777
O  0.290  0.223  0.501
O  0.306  0.000  0.258
O  0.500  0.183  0.730

Largest 10 diffraction maxima, most intense first, 2θ = 10–80°:
2θ (°), I/Imax
30.52, 100.0
18.55, 36.4
54.29, 29.5
43.78, 25.4
21.43, 19.8
54.15, 15.8
63.47, 13.2
36.00, 12.3
10.65, 12.3
43.57, 11.9

No. 3
# KEuZn4
Calculated X-ray powder pattern, CuKα. Input: a cell relaxed with PBE.
No peak broadening, texture or thermal motion is included.

Structure:
a = 8.169 Å, b = 8.169 Å, c = 8.169 Å
α = 90.00°, β = 90.00°, γ = 90.00°
Space group F-43m (No. 216)
Unique sites:
K  0.000  0.000  0.000
Eu  0.250  0.250  0.250
Zn  0.124  0.124  0.624

Largest 10 diffraction maxima, most intense first, 2θ = 10–80°:
2θ (°), I/Imax
36.48, 100.0
30.96, 34.4
38.16, 32.9
58.73, 31.9
64.53, 24.0
55.08, 12.9
18.82, 12.7
21.76, 12.6
77.51, 11.4
76.46, 10.8

No. 4
# La6Eu
Calculated X-ray powder pattern, CuKα. Input: a cell relaxed with PBE.
No peak broadening, texture or thermal motion is included.

Structure:
a = 8.313 Å, b = 8.313 Å, c = 8.313 Å
α = 90.00°, β = 90.00°, γ = 90.00°
Space group Im-3m (No. 229)
Unique sites:
La  0.000  0.250  0.500
Eu  0.000  0.000  0.000

Largest 10 diffraction maxima, most intense first, 2θ = 10–80°:
2θ (°), I/Imax
26.26, 100.0
40.61, 62.8
21.38, 41.3
43.55, 33.5
37.48, 32.0
63.28, 21.9
69.73, 18.9
61.05, 18.8
49.00, 18.2
51.57, 15.6